This entry pairs a crystal structure of Na4Tb3MnO8 with its calculated powder XRD pattern. Radiation: Cu Kα, 1.54184 Å. Structure: a structure optimized by DFT (PBE+U).

Principal peaks in the range 2θ = 15–90°, by angle:
2θ 15.86, 5.588 Å, I 100
2θ 30.49, 2.932 Å, I 19
2θ 31.39, 2.850 Å, I 32
2θ 32.03, 2.794 Å, I 22
2θ 32.37, 2.766 Å, I 20
2θ 32.53, 2.753 Å, I 40
2θ 36.62, 2.454 Å, I 33
2θ 38.00, 2.368 Å, I 58
2θ 53.58, 1.710 Å, I 19
2θ 54.02, 1.698 Å, I 20

Structural model:
```
16
Lattice="5.9257 -3.3248 0.0000 5.9257 3.3248 0.0000 -3.7806 0.0000 5.5882" Properties=species:S:1:pos:R:3 pbc="T T T"
Na 0.0000 0.0000 0.0000
Na 2.9628 1.6624 0.0000
Na 2.9628 -1.6624 0.0000
Na 5.9257 0.0000 0.0000
Tb -1.8903 0.0000 2.7941
Tb 1.0725 1.6624 2.7941
Tb 1.0725 -1.6624 2.7941
Mn 4.0353 0.0000 2.7941
O 0.0564 0.0000 3.9824
O 1.8459 0.0000 1.4529
O 3.1482 1.4721 3.8761
O 4.9225 1.4721 1.7121
O 3.1482 -1.4721 3.8761
O 4.9225 -1.4721 1.7121
O 6.2248 0.0000 4.1353
O 8.0143 0.0000 1.6058
```